Starting from a PBE+U-relaxed structure, the powder diffraction line list of NdVAs2O8 was computed for Cu Kα, 1.54184 Å.
No peak broadening, texture or thermal motion is included.

Atomic structure:
```
data_NdVAs2O8
_space_group_name_H-M_alt 'I -4 m 2'
_space_group_IT_number 119
_space_group_name_Hall 'I -4 -2'
_cell_length_a 7.1658
_cell_length_b 7.1658
_cell_length_c 6.2365
_cell_angle_alpha 90.00
_cell_angle_beta 90.00
_cell_angle_gamma 90.00
loop_
_atom_site_label
_atom_site_type_symbol
_atom_site_fract_x
_atom_site_fract_y
_atom_site_fract_z
_atom_site_occupancy
Nd1 Nd 0.0000 0.0000 0.0000 1
V1 V 0.0000 0.5000 0.2500 1
As1 As 0.0000 0.0000 0.5000 1
As2 As 0.0000 0.5000 0.7500 1
O1 O 0.0000 0.1886 0.3274 1
O2 O 0.0000 0.3268 0.9412 1
```

Principal peaks in the range 2θ = 15–90°, by intensity:
Position (°2θ)	d_spacing	Rel. int.
24.9	3.583	100
33.8	2.656	62
49.7	1.833	57
35.4	2.533	19
62.5	1.485	18
51.0	1.791	15
57.5	1.602	12
74.0	1.281	12